(1)
This entry pairs a crystal structure of Ac12Ru4Rh with its simulated X-ray powder pattern. Radiation: copper Kα. Structure: DFT lattice parameters and positions (GGA-PBE).
Kinematic intensities with the Lorentz-polarization factor, no thermal factor.

Cell and atoms:
```
data_Ac12Ru4Rh
_chemical_formula_sum 'Ac12 Ru4 Rh1'
_cell_length_a 9.611
_cell_length_b 9.611
_cell_length_c 9.611
_cell_angle_alpha 109.51
_cell_angle_beta 109.48
_cell_angle_gamma 109.42
_space_group_name_H-M_alt 'P 1'
_space_group_IT_number 1
_space_group_name_Hall 'P 1'
loop_
_atom_site_label
_atom_site_fract_x
_atom_site_fract_y
_atom_site_fract_z
Ac1 0.008 0.816 0.192
Ac2 0.197 0.516 0.319
Ac3 0.197 0.878 0.681
Ac4 0.300 0.317 0.617
Ac5 0.300 0.683 0.983
Ac6 0.376 0.184 0.192
Ac7 0.624 0.816 0.808
Ac8 0.700 0.317 0.017
Ac9 0.700 0.683 0.383
Ac10 0.803 0.122 0.319
Ac11 0.803 0.484 0.681
Ac12 0.992 0.184 0.808
Ru1 0.000 0.000 0.500
Ru2 0.000 0.500 0.000
Ru3 0.500 0.000 0.000
Ru4 0.500 0.500 0.500
Rh1 0.000 0.500 0.500
```

Principal peaks in the range 2θ = 10–90°, in order of rising 2θ:
- 16.0°, 5.549 Å, I 28
- 25.4°, 3.509 Å, I 100
- 30.1°, 2.966 Å, I 75
- 32.3°, 2.774 Å, I 23
- 36.2°, 2.481 Å, I 26
- 47.8°, 1.903 Å, I 53
- 50.7°, 1.800 Å, I 44
- 72.2°, 1.308 Å, I 28

(2)
This entry pairs a crystal structure of AcYRuRh with its simulated X-ray powder pattern. Radiation: copper Kα. Structure: DFT lattice parameters and positions (GGA-PBE).
Kinematic intensities with the Lorentz-polarization factor, no thermal factor.

Cell and atoms:
```
data_AcYRuRh
_chemical_formula_sum 'Ac1 Y1 Ru1 Rh1'
_cell_length_a 5.034
_cell_length_b 5.034
_cell_length_c 5.034
_cell_angle_alpha 60.00
_cell_angle_beta 60.00
_cell_angle_gamma 60.00
_space_group_name_H-M_alt 'P 1'
_space_group_IT_number 1
_space_group_name_Hall 'P 1'
loop_
_atom_site_label
_atom_site_fract_x
_atom_site_fract_y
_atom_site_fract_z
Ac1 0.000 0.000 0.000
Y1 0.500 0.500 0.500
Ru1 0.250 0.250 0.250
Rh1 0.750 0.750 0.750
```

Principal peaks in the range 2θ = 10–90°, in order of rising 2θ:
- 21.6°, 4.110 Å, I 14
- 25.0°, 3.559 Å, I 5
- 35.7°, 2.517 Å, I 100
- 42.1°, 2.146 Å, I 8
- 51.3°, 1.780 Å, I 18
- 64.1°, 1.453 Å, I 36
- 75.6°, 1.258 Å, I 11
- 86.5°, 1.126 Å, I 16

(3)
This entry pairs a crystal structure of Ac8Te4Rh3S with its simulated X-ray powder pattern. Radiation: copper Kα. Structure: DFT lattice parameters and positions (GGA-PBE).
Kinematic intensities with the Lorentz-polarization factor, no thermal factor.

Cell and atoms:
```
data_Ac8Te4Rh3S
_chemical_formula_sum 'Ac8 Te4 Rh3 S1'
_cell_length_a 9.449
_cell_length_b 9.449
_cell_length_c 9.449
_cell_angle_alpha 56.22
_cell_angle_beta 56.22
_cell_angle_gamma 56.22
_space_group_name_H-M_alt 'P 1'
_space_group_IT_number 1
_space_group_name_Hall 'P 1'
loop_
_atom_site_label
_atom_site_fract_x
_atom_site_fract_y
_atom_site_fract_z
Ac1 0.227 0.742 0.742
Ac2 0.237 0.237 0.237
Ac3 0.258 0.258 0.773
Ac4 0.258 0.773 0.258
Ac5 0.742 0.227 0.742
Ac6 0.742 0.742 0.227
Ac7 0.763 0.763 0.763
Ac8 0.773 0.258 0.258
Te1 0.000 0.000 0.000
Te2 0.000 0.500 0.500
Te3 0.500 0.000 0.500
Te4 0.500 0.500 0.000
Rh1 0.000 0.000 0.500
Rh2 0.000 0.500 0.000
Rh3 0.500 0.000 0.000
S1 0.500 0.500 0.500
```

Principal peaks in the range 2θ = 10–90°, in order of rising 2θ:
- 24.3°, 3.667 Å, I 16
- 27.6°, 3.235 Å, I 100
- 38.2°, 2.354 Å, I 34
- 40.5°, 2.226 Å, I 38
- 49.7°, 1.834 Å, I 20
- 56.9°, 1.617 Å, I 11
- 62.8°, 1.480 Å, I 11
- 66.0°, 1.415 Å, I 17

(4)
This entry pairs a crystal structure of Ac2URh2S6 with its simulated X-ray powder pattern. Radiation: copper Kα. Structure: DFT lattice parameters and positions (GGA-PBE).
Kinematic intensities with the Lorentz-polarization factor, no thermal factor.

Cell and atoms:
```
data_Ac2URh2S6
_chemical_formula_sum 'Ac2 U1 Rh2 S6'
_cell_length_a 7.317
_cell_length_b 7.317
_cell_length_c 7.315
_cell_angle_alpha 119.93
_cell_angle_beta 119.93
_cell_angle_gamma 52.69
_space_group_name_H-M_alt 'P 1'
_space_group_IT_number 1
_space_group_name_Hall 'P 1'
loop_
_atom_site_label
_atom_site_fract_x
_atom_site_fract_y
_atom_site_fract_z
Ac1 0.239 0.239 0.249
Ac2 0.761 0.761 0.751
U1 0.000 0.000 0.500
Rh1 0.431 0.431 0.104
Rh2 0.569 0.569 0.896
S1 0.185 0.663 0.668
S2 0.227 0.227 0.828
S3 0.337 0.815 0.332
S4 0.663 0.185 0.668
S5 0.773 0.773 0.172
S6 0.815 0.337 0.332
```

Principal peaks in the range 2θ = 10–90°, in order of rising 2θ:
- 24.6°, 3.625 Å, I 100
- 27.5°, 3.248 Å, I 33
- 29.2°, 3.058 Å, I 25
- 37.0°, 2.428 Å, I 18
- 41.3°, 2.185 Å, I 16
- 43.0°, 2.105 Å, I 15
- 46.8°, 1.940 Å, I 19
- 50.3°, 1.814 Å, I 14

(5)
This entry pairs a crystal structure of Ac2Sb3Rh5 with its simulated X-ray powder pattern. Radiation: copper Kα. Structure: DFT lattice parameters and positions (GGA-PBE).
Kinematic intensities with the Lorentz-polarization factor, no thermal factor.

Cell and atoms:
```
data_Ac2Sb3Rh5
_chemical_formula_sum 'Ac4 Sb6 Rh10'
_cell_length_a 9.094
_cell_length_b 9.094
_cell_length_c 9.094
_cell_angle_alpha 111.32
_cell_angle_beta 82.99
_cell_angle_gamma 139.33
_space_group_name_H-M_alt 'P 1'
_space_group_IT_number 1
_space_group_name_Hall 'P 1'
loop_
_atom_site_label
_atom_site_fract_x
_atom_site_fract_y
_atom_site_fract_z
Ac1 0.143 0.240 0.383
Ac2 0.357 0.740 0.097
Ac3 0.643 0.260 0.903
Ac4 0.857 0.760 0.617
Sb1 0.108 0.644 0.752
Sb2 0.250 0.250 0.000
Sb3 0.392 0.144 0.536
Sb4 0.608 0.856 0.464
Sb5 0.750 0.750 0.000
Sb6 0.892 0.356 0.248
Rh1 0.030 0.750 0.280
Rh2 0.132 0.894 0.026
Rh3 0.250 0.750 0.500
Rh4 0.368 0.394 0.762
Rh5 0.470 0.750 0.720
Rh6 0.530 0.250 0.280
Rh7 0.632 0.606 0.238
Rh8 0.750 0.250 0.500
Rh9 0.868 0.106 0.974
Rh10 0.970 0.250 0.720
```

Principal peaks in the range 2θ = 10–90°, in order of rising 2θ:
- 26.2°, 3.406 Å, I 17
- 31.5°, 2.837 Å, I 64
- 32.5°, 2.751 Å, I 100
- 33.3°, 2.691 Å, I 72
- 38.9°, 2.317 Å, I 88
- 48.5°, 1.876 Å, I 30
- 50.4°, 1.812 Å, I 21
- 52.8°, 1.735 Å, I 33

(6)
This entry pairs a crystal structure of Ac4Sb6Rh7 with its simulated X-ray powder pattern. Radiation: copper Kα. Structure: DFT lattice parameters and positions (GGA-PBE).
Kinematic intensities with the Lorentz-polarization factor, no thermal factor.

Cell and atoms:
```
data_Ac4Sb6Rh7
_chemical_formula_sum 'Ac4 Sb6 Rh7'
_cell_length_a 7.969
_cell_length_b 7.969
_cell_length_c 7.969
_cell_angle_alpha 109.47
_cell_angle_beta 109.47
_cell_angle_gamma 109.47
_space_group_name_H-M_alt 'P 1'
_space_group_IT_number 1
_space_group_name_Hall 'P 1'
loop_
_atom_site_label
_atom_site_fract_x
_atom_site_fract_y
_atom_site_fract_z
Ac1 0.000 0.000 0.500
Ac2 0.000 0.500 0.000
Ac3 0.500 0.000 0.000
Ac4 0.500 0.500 0.500
Sb1 0.000 0.327 0.327
Sb2 0.000 0.673 0.673
Sb3 0.327 0.000 0.327
Sb4 0.327 0.327 0.000
Sb5 0.673 0.000 0.673
Sb6 0.673 0.673 0.000
Rh1 0.000 0.000 0.000
Rh2 0.250 0.500 0.750
Rh3 0.250 0.750 0.500
Rh4 0.500 0.250 0.750
Rh5 0.500 0.750 0.250
Rh6 0.750 0.250 0.500
Rh7 0.750 0.500 0.250
```

Principal peaks in the range 2θ = 10–90°, in order of rising 2θ:
- 27.4°, 3.253 Å, I 42
- 33.7°, 2.656 Å, I 100
- 39.2°, 2.301 Å, I 61
- 41.6°, 2.169 Å, I 19
- 46.3°, 1.962 Å, I 16
- 56.6°, 1.627 Å, I 30
- 64.0°, 1.455 Å, I 18
- 67.5°, 1.387 Å, I 26

(7)
This entry pairs a crystal structure of Ac4SbRh2 with its simulated X-ray powder pattern. Radiation: copper Kα. Structure: DFT lattice parameters and positions (GGA-PBE).
Kinematic intensities with the Lorentz-polarization factor, no thermal factor.

Cell and atoms:
```
data_Ac4SbRh2
_chemical_formula_sum 'Ac8 Sb2 Rh4'
_cell_length_a 8.454
_cell_length_b 8.438
_cell_length_c 9.861
_cell_angle_alpha 54.35
_cell_angle_beta 54.21
_cell_angle_gamma 71.44
_space_group_name_H-M_alt 'P 1'
_space_group_IT_number 1
_space_group_name_Hall 'P 1'
loop_
_atom_site_label
_atom_site_fract_x
_atom_site_fract_y
_atom_site_fract_z
Ac1 0.108 0.221 0.016
Ac2 0.221 0.108 0.655
Ac3 0.234 0.595 0.142
Ac4 0.319 0.681 0.445
Ac5 0.595 0.234 0.029
Ac6 0.681 0.319 0.555
Ac7 0.695 0.805 0.569
Ac8 0.805 0.695 0.931
Sb1 0.082 0.082 0.418
Sb2 0.832 0.832 0.168
Rh1 0.368 0.547 0.793
Rh2 0.457 0.958 0.882
Rh3 0.547 0.368 0.292
Rh4 0.958 0.457 0.703
```

Principal peaks in the range 2θ = 10–90°, in order of rising 2θ:
- 26.0°, 3.427 Å, I 54
- 28.6°, 3.118 Å, I 90
- 28.7°, 3.108 Å, I 95
- 29.5°, 3.024 Å, I 100
- 34.1°, 2.629 Å, I 95
- 34.4°, 2.609 Å, I 46
- 47.6°, 1.911 Å, I 36
- 48.1°, 1.893 Å, I 45

(8)
This entry pairs a crystal structure of Ac3Sb4Rh7 with its simulated X-ray powder pattern. Radiation: copper Kα. Structure: DFT lattice parameters and positions (GGA-PBE).
Kinematic intensities with the Lorentz-polarization factor, no thermal factor.

Cell and atoms:
```
data_Ac3Sb4Rh7
_chemical_formula_sum 'Ac3 Sb4 Rh7'
_cell_length_a 8.477
_cell_length_b 8.477
_cell_length_c 10.269
_cell_angle_alpha 125.18
_cell_angle_beta 125.18
_cell_angle_gamma 30.55
_space_group_name_H-M_alt 'P 1'
_space_group_IT_number 1
_space_group_name_Hall 'P 1'
loop_
_atom_site_label
_atom_site_fract_x
_atom_site_fract_y
_atom_site_fract_z
Ac1 0.000 0.000 0.000
Ac2 0.331 0.331 0.324
Ac3 0.669 0.669 0.676
Sb1 0.127 0.127 0.399
Sb2 0.327 0.327 0.978
Sb3 0.673 0.673 0.022
Sb4 0.873 0.873 0.601
Rh1 0.000 0.000 0.500
Rh2 0.124 0.124 0.852
Rh3 0.320 0.320 0.709
Rh4 0.491 0.491 0.707
Rh5 0.509 0.509 0.293
Rh6 0.680 0.680 0.291
Rh7 0.876 0.876 0.148
```

Principal peaks in the range 2θ = 10–90°, in order of rising 2θ:
- 28.6°, 3.125 Å, I 45
- 32.6°, 2.745 Å, I 31
- 33.0°, 2.716 Å, I 65
- 33.2°, 2.702 Å, I 95
- 34.0°, 2.637 Å, I 100
- 40.4°, 2.234 Å, I 69
- 41.3°, 2.186 Å, I 36
- 59.1°, 1.562 Å, I 25

(9)
This entry pairs a crystal structure of Ac3SnSb2Rh9 with its simulated X-ray powder pattern. Radiation: copper Kα. Structure: DFT lattice parameters and positions (GGA-PBE).
Kinematic intensities with the Lorentz-polarization factor, no thermal factor.

Cell and atoms:
```
data_Ac3SnSb2Rh9
_chemical_formula_sum 'Ac3 Sn1 Sb2 Rh9'
_cell_length_a 6.671
_cell_length_b 6.671
_cell_length_c 9.435
_cell_angle_alpha 90.00
_cell_angle_beta 90.00
_cell_angle_gamma 120.00
_space_group_name_H-M_alt 'P 1'
_space_group_IT_number 1
_space_group_name_Hall 'P 1'
loop_
_atom_site_label
_atom_site_fract_x
_atom_site_fract_y
_atom_site_fract_z
Ac1 0.000 0.000 0.000
Ac2 0.333 0.667 0.726
Ac3 0.667 0.333 0.274
Sn1 0.000 0.000 0.500
Sb1 0.333 0.667 0.183
Sb2 0.667 0.333 0.817
Rh1 0.000 0.500 0.000
Rh2 0.133 0.266 0.271
Rh3 0.133 0.867 0.271
Rh4 0.266 0.133 0.729
Rh5 0.500 0.000 0.000
Rh6 0.500 0.500 0.000
Rh7 0.734 0.867 0.271
Rh8 0.867 0.133 0.729
Rh9 0.867 0.734 0.729
```

Principal peaks in the range 2θ = 10–90°, in order of rising 2θ:
- 24.4°, 3.654 Å, I 23
- 26.7°, 3.335 Å, I 44
- 32.4°, 2.762 Å, I 57
- 36.5°, 2.463 Å, I 100
- 42.5°, 2.127 Å, I 27
- 45.8°, 1.982 Å, I 35
- 55.1°, 1.668 Å, I 27
- 67.9°, 1.381 Å, I 29

(10)
This entry pairs a crystal structure of Ac2ThSb3Rh6 with its simulated X-ray powder pattern. Radiation: copper Kα. Structure: DFT lattice parameters and positions (GGA-PBE).
Kinematic intensities with the Lorentz-polarization factor, no thermal factor.

Cell and atoms:
```
data_Ac2ThSb3Rh6
_chemical_formula_sum 'Ac2 Th1 Sb3 Rh6'
_cell_length_a 4.165
_cell_length_b 4.165
_cell_length_c 17.317
_cell_angle_alpha 90.00
_cell_angle_beta 90.00
_cell_angle_gamma 90.00
_space_group_name_H-M_alt 'P 1'
_space_group_IT_number 1
_space_group_name_Hall 'P 1'
loop_
_atom_site_label
_atom_site_fract_x
_atom_site_fract_y
_atom_site_fract_z
Ac1 0.000 0.000 0.146
Ac2 0.000 0.000 0.854
Th1 0.000 0.000 0.500
Sb1 0.500 0.500 0.000
Sb2 0.500 0.500 0.297
Sb3 0.500 0.500 0.703
Rh1 0.000 0.500 0.386
Rh2 0.000 0.500 0.614
Rh3 0.500 0.000 0.386
Rh4 0.500 0.000 0.614
Rh5 0.500 0.500 0.149
Rh6 0.500 0.500 0.851
```

Principal peaks in the range 2θ = 10–90°, in order of rising 2θ:
- 26.4°, 3.377 Å, I 100
- 30.4°, 2.945 Å, I 43
- 30.8°, 2.903 Å, I 36
- 34.2°, 2.623 Å, I 54
- 40.2°, 2.243 Å, I 37
- 43.5°, 2.082 Å, I 67
- 43.9°, 2.061 Å, I 51
- 51.6°, 1.772 Å, I 33

(11)
This entry pairs a crystal structure of AcYSb2Rh5 with its simulated X-ray powder pattern. Radiation: copper Kα. Structure: DFT lattice parameters and positions (GGA-PBE).
Kinematic intensities with the Lorentz-polarization factor, no thermal factor.

Cell and atoms:
```
data_AcYSb2Rh5
_chemical_formula_sum 'Ac1 Y1 Sb2 Rh5'
_cell_length_a 4.538
_cell_length_b 4.538
_cell_length_c 9.058
_cell_angle_alpha 90.00
_cell_angle_beta 90.00
_cell_angle_gamma 90.00
_space_group_name_H-M_alt 'P 1'
_space_group_IT_number 1
_space_group_name_Hall 'P 1'
loop_
_atom_site_label
_atom_site_fract_x
_atom_site_fract_y
_atom_site_fract_z
Ac1 0.000 0.000 0.000
Y1 0.000 0.000 0.500
Sb1 0.500 0.500 0.344
Sb2 0.500 0.500 0.656
Rh1 0.000 0.500 0.227
Rh2 0.000 0.500 0.773
Rh3 0.500 0.000 0.227
Rh4 0.500 0.000 0.773
Rh5 0.500 0.500 0.000
```

Principal peaks in the range 2θ = 10–90°, in order of rising 2θ:
- 27.8°, 3.206 Å, I 37
- 34.2°, 2.618 Å, I 100
- 39.7°, 2.268 Å, I 84
- 41.0°, 2.199 Å, I 52
- 57.5°, 1.604 Å, I 40
- 68.6°, 1.368 Å, I 26
- 68.7°, 1.366 Å, I 20
- 73.0°, 1.296 Å, I 18

(12)
This entry pairs a crystal structure of Ac4Rh2Se with its simulated X-ray powder pattern. Radiation: copper Kα. Structure: DFT lattice parameters and positions (GGA-PBE).
Kinematic intensities with the Lorentz-polarization factor, no thermal factor.

Cell and atoms:
```
data_Ac4Rh2Se
_chemical_formula_sum 'Ac4 Rh2 Se1'
_cell_length_a 14.663
_cell_length_b 14.663
_cell_length_c 14.663
_cell_angle_alpha 17.04
_cell_angle_beta 17.04
_cell_angle_gamma 17.04
_space_group_name_H-M_alt 'P 1'
_space_group_IT_number 1
_space_group_name_Hall 'P 1'
loop_
_atom_site_label
_atom_site_fract_x
_atom_site_fract_y
_atom_site_fract_z
Ac1 0.125 0.125 0.125
Ac2 0.285 0.285 0.285
Ac3 0.715 0.715 0.715
Ac4 0.875 0.875 0.875
Rh1 0.423 0.423 0.423
Rh2 0.577 0.577 0.577
Se1 0.000 0.000 0.000
```

Principal peaks in the range 2θ = 10–90°, in order of rising 2θ:
- 25.8°, 3.452 Å, I 23
- 27.7°, 3.216 Å, I 100
- 36.0°, 2.495 Å, I 16
- 37.6°, 2.391 Å, I 20
- 41.6°, 2.172 Å, I 44
- 42.8°, 2.111 Å, I 14
- 50.7°, 1.800 Å, I 19
- 67.6°, 1.386 Å, I 16

(13)
This entry pairs a crystal structure of Ac2SiRh3 with its simulated X-ray powder pattern. Radiation: copper Kα. Structure: DFT lattice parameters and positions (GGA-PBE).
Kinematic intensities with the Lorentz-polarization factor, no thermal factor.

Cell and atoms:
```
data_Ac2SiRh3
_chemical_formula_sum 'Ac4 Si2 Rh6'
_cell_length_a 8.658
_cell_length_b 8.639
_cell_length_c 6.129
_cell_angle_alpha 69.41
_cell_angle_beta 69.08
_cell_angle_gamma 41.50
_space_group_name_H-M_alt 'P 1'
_space_group_IT_number 1
_space_group_name_Hall 'P 1'
loop_
_atom_site_label
_atom_site_fract_x
_atom_site_fract_y
_atom_site_fract_z
Ac1 0.246 0.754 0.246
Ac2 0.250 0.250 0.250
Ac3 0.750 0.750 0.750
Ac4 0.754 0.246 0.754
Si1 0.168 0.168 0.832
Si2 0.832 0.832 0.168
Rh1 0.142 0.680 0.858
Rh2 0.320 0.858 0.680
Rh3 0.323 0.323 0.677
Rh4 0.677 0.677 0.323
Rh5 0.680 0.142 0.320
Rh6 0.858 0.320 0.142
```

Principal peaks in the range 2θ = 10–90°, in order of rising 2θ:
- 23.8°, 3.740 Å, I 19
- 31.5°, 2.837 Å, I 100
- 41.5°, 2.176 Å, I 13
- 41.8°, 2.160 Å, I 25
- 41.9°, 2.157 Å, I 12
- 53.3°, 1.718 Å, I 22
- 60.4°, 1.533 Å, I 25
- 70.0°, 1.344 Å, I 20